[1]
The following is a simulated X-ray diffraction stick pattern of ZnSiAsP. It was derived from DFT lattice parameters and positions (GGA-PBE), using Cu Kα.
Neutral-atom scattering factors, no anomalous dispersion.

Cell and atoms:
```
data_ZnSiAsP
_chemical_formula_sum 'Zn4 Si4 As4 P4'
_space_group_name_H-M_alt 'P 1'
_space_group_IT_number 1
_cell_length_a 5.5255
_cell_length_b 5.5552
_cell_length_c 10.7797
_cell_angle_alpha 90.00
_cell_angle_beta 90.00
_cell_angle_gamma 90.00
loop_
_space_group_symop_operation_xyz
'x,y,z'
loop_
_atom_site_label
_atom_site_fract_x
_atom_site_fract_y
_atom_site_fract_z
Zn1 0.0000 0.2500 0.1195
Zn2 0.0000 0.7500 0.3805
Zn3 0.5000 0.2500 0.8805
Zn4 0.5000 0.7500 0.6195
Si1 0.0000 0.2500 0.6195
Si2 0.0000 0.7500 0.8805
Si3 0.5000 0.2500 0.3805
Si4 0.5000 0.7500 0.1195
As1 0.2373 0.0000 0.7500
As2 0.2627 0.0000 0.2500
As3 0.7373 0.5000 0.2500
As4 0.7627 0.5000 0.7500
P1 0.2500 0.4808 0.5000
P2 0.2500 0.5192 0.0000
P3 0.7500 0.0192 0.5000
P4 0.7500 0.9808 0.0000
```

Largest 10 diffraction maxima, low angle first, 5° ≤ 2θ ≤ 70°:
d 5.390, 2θ = 16.45°, I = 6; d 4.929, 2θ = 17.99°, I = 8; d 3.918, 2θ = 22.70°, I = 8; d 3.169, 2θ = 28.16°, I = 100; d 1.959, 2θ = 46.35°, I = 24; d 1.934, 2θ = 46.98°, I = 23; d 1.929, 2θ = 47.11°, I = 23; d 1.669, 2θ = 55.01°, I = 14; d 1.663, 2θ = 55.24°, I = 14; d 1.633, 2θ = 56.34°, I = 13

=====

[2]
The following is a simulated X-ray diffraction stick pattern of DyAgGe. It was derived from DFT lattice parameters and positions (GGA-PBE), using Cu Kα.
Neutral-atom scattering factors, no anomalous dispersion.

Cell and atoms:
```
data_DyAgGe
_chemical_formula_sum 'Dy3 Ag3 Ge3'
_space_group_name_H-M_alt 'P 1'
_space_group_IT_number 1
_cell_length_a 7.1688
_cell_length_b 7.1688
_cell_length_c 4.2286
_cell_angle_alpha 90.00
_cell_angle_beta 90.00
_cell_angle_gamma 120.00
loop_
_space_group_symop_operation_xyz
'x,y,z'
loop_
_atom_site_label
_atom_site_fract_x
_atom_site_fract_y
_atom_site_fract_z
Dy1 0.0000 0.4168 0.0000
Dy2 0.4168 0.0000 0.0000
Dy3 0.5832 0.5832 0.0000
Ag1 0.0000 0.7501 0.5000
Ag2 0.2499 0.2499 0.5000
Ag3 0.7501 0.0000 0.5000
Ge1 0.0000 0.0000 0.0000
Ge2 0.3333 0.6667 0.5000
Ge3 0.6667 0.3333 0.5000
```

Largest 10 diffraction maxima, low angle first, 5° ≤ 2θ ≤ 70°:
d 2.734, 2θ = 32.75°, I = 100; d 2.502, 2θ = 35.89°, I = 89; d 2.347, 2θ = 38.36°, I = 49; d 2.114, 2θ = 42.77°, I = 29; d 2.069, 2θ = 43.74°, I = 18; d 1.722, 2θ = 53.19°, I = 13; d 1.595, 2θ = 57.82°, I = 23; d 1.571, 2θ = 58.79°, I = 27; d 1.479, 2θ = 62.84°, I = 12; d 1.350, 2θ = 69.66°, I = 23

=====

[3]
The following is a simulated X-ray diffraction stick pattern of NbPd3. It was derived from DFT lattice parameters and positions (GGA-PBE), using Cu Kα.
Neutral-atom scattering factors, no anomalous dispersion.

Cell and atoms:
```
data_NbPd3
_chemical_formula_sum 'Nb6 Pd18'
_space_group_name_H-M_alt 'P 1'
_space_group_IT_number 1
_cell_length_a 5.5886
_cell_length_b 13.8112
_cell_length_c 4.9127
_cell_angle_alpha 90.00
_cell_angle_beta 90.00
_cell_angle_gamma 90.00
loop_
_space_group_symop_operation_xyz
'x,y,z'
loop_
_atom_site_label
_atom_site_fract_x
_atom_site_fract_y
_atom_site_fract_z
Nb1 0.2500 0.0854 0.1673
Nb2 0.2500 0.4146 0.1673
Nb3 0.2500 0.7500 0.5047
Nb4 0.7500 0.2500 0.4953
Nb5 0.7500 0.5854 0.8327
Nb6 0.7500 0.9146 0.8327
Pd1 0.0009 0.5818 0.3323
Pd2 0.0012 0.7500 0.0084
Pd3 0.0009 0.9182 0.3323
Pd4 0.2500 0.2500 0.4819
Pd5 0.2500 0.5859 0.8334
Pd6 0.2500 0.9141 0.8334
Pd7 0.4991 0.5818 0.3323
Pd8 0.4988 0.7500 0.0084
Pd9 0.4991 0.9182 0.3323
Pd10 0.5009 0.0818 0.6677
Pd11 0.5012 0.2500 0.9916
Pd12 0.5009 0.4182 0.6677
Pd13 0.7500 0.0859 0.1666
Pd14 0.7500 0.4141 0.1666
Pd15 0.7500 0.7500 0.5181
Pd16 0.9991 0.0818 0.6677
Pd17 0.9988 0.2500 0.9916
Pd18 0.9991 0.4182 0.6677
```

Largest 10 diffraction maxima, low angle first, 5° ≤ 2θ ≤ 70°:
d 2.392, 2θ = 37.60°, I = 43; d 2.314, 2θ = 38.92°, I = 50; d 2.302, 2θ = 39.13°, I = 99; d 2.291, 2θ = 39.32°, I = 96; d 2.167, 2θ = 41.68°, I = 63; d 2.148, 2θ = 42.06°, I = 100; d 2.002, 2θ = 45.31°, I = 33; d 1.987, 2θ = 45.67°, I = 63; d 1.413, 2θ = 66.14°, I = 50; d 1.397, 2θ = 66.98°, I = 20

=====

[4]
The following is a simulated X-ray diffraction stick pattern of NdCuSi. It was derived from DFT lattice parameters and positions (GGA-PBE), using Cu Kα.
Neutral-atom scattering factors, no anomalous dispersion.

Cell and atoms:
```
data_NdCuSi
_chemical_formula_sum 'Nd1 Cu1 Si1'
_space_group_name_H-M_alt 'P 1'
_space_group_IT_number 1
_cell_length_a 4.1259
_cell_length_b 4.1259
_cell_length_c 4.1362
_cell_angle_alpha 90.00
_cell_angle_beta 90.00
_cell_angle_gamma 120.00
loop_
_space_group_symop_operation_xyz
'x,y,z'
loop_
_atom_site_label
_atom_site_fract_x
_atom_site_fract_y
_atom_site_fract_z
Nd1 0.0000 0.0000 0.0000
Cu1 0.3333 0.6667 0.5000
Si1 0.6667 0.3333 0.5000
```

Largest 10 diffraction maxima, low angle first, 5° ≤ 2θ ≤ 70°:
d 4.136, 2θ = 21.48°, I = 2; d 3.573, 2θ = 24.92°, I = 27; d 2.704, 2θ = 33.13°, I = 100; d 2.068, 2θ = 43.77°, I = 12; d 2.063, 2θ = 43.89°, I = 34; d 1.790, 2θ = 51.02°, I = 8; d 1.787, 2θ = 51.13°, I = 4; d 1.640, 2θ = 56.07°, I = 22; d 1.461, 2θ = 63.72°, I = 22; d 1.351, 2θ = 69.57°, I = 6

=====

Please write out number 2 again, unchanged.
The following is a simulated X-ray diffraction stick pattern of DyAgGe. It was derived from DFT lattice parameters and positions (GGA-PBE), using Cu Kα.
Neutral-atom scattering factors, no anomalous dispersion.

Cell and atoms:
```
data_DyAgGe
_chemical_formula_sum 'Dy3 Ag3 Ge3'
_space_group_name_H-M_alt 'P 1'
_space_group_IT_number 1
_cell_length_a 7.1688
_cell_length_b 7.1688
_cell_length_c 4.2286
_cell_angle_alpha 90.00
_cell_angle_beta 90.00
_cell_angle_gamma 120.00
loop_
_space_group_symop_operation_xyz
'x,y,z'
loop_
_atom_site_label
_atom_site_fract_x
_atom_site_fract_y
_atom_site_fract_z
Dy1 0.0000 0.4168 0.0000
Dy2 0.4168 0.0000 0.0000
Dy3 0.5832 0.5832 0.0000
Ag1 0.0000 0.7501 0.5000
Ag2 0.2499 0.2499 0.5000
Ag3 0.7501 0.0000 0.5000
Ge1 0.0000 0.0000 0.0000
Ge2 0.3333 0.6667 0.5000
Ge3 0.6667 0.3333 0.5000
```

Largest 10 diffraction maxima, low angle first, 5° ≤ 2θ ≤ 70°:
d 2.734, 2θ = 32.75°, I = 100; d 2.502, 2θ = 35.89°, I = 89; d 2.347, 2θ = 38.36°, I = 49; d 2.114, 2θ = 42.77°, I = 29; d 2.069, 2θ = 43.74°, I = 18; d 1.722, 2θ = 53.19°, I = 13; d 1.595, 2θ = 57.82°, I = 23; d 1.571, 2θ = 58.79°, I = 27; d 1.479, 2θ = 62.84°, I = 12; d 1.350, 2θ = 69.66°, I = 23

=====

Repeat the first record exactly.
The following is a simulated X-ray diffraction stick pattern of ZnSiAsP. It was derived from DFT lattice parameters and positions (GGA-PBE), using Cu Kα.
Neutral-atom scattering factors, no anomalous dispersion.

Cell and atoms:
```
data_ZnSiAsP
_chemical_formula_sum 'Zn4 Si4 As4 P4'
_space_group_name_H-M_alt 'P 1'
_space_group_IT_number 1
_cell_length_a 5.5255
_cell_length_b 5.5552
_cell_length_c 10.7797
_cell_angle_alpha 90.00
_cell_angle_beta 90.00
_cell_angle_gamma 90.00
loop_
_space_group_symop_operation_xyz
'x,y,z'
loop_
_atom_site_label
_atom_site_fract_x
_atom_site_fract_y
_atom_site_fract_z
Zn1 0.0000 0.2500 0.1195
Zn2 0.0000 0.7500 0.3805
Zn3 0.5000 0.2500 0.8805
Zn4 0.5000 0.7500 0.6195
Si1 0.0000 0.2500 0.6195
Si2 0.0000 0.7500 0.8805
Si3 0.5000 0.2500 0.3805
Si4 0.5000 0.7500 0.1195
As1 0.2373 0.0000 0.7500
As2 0.2627 0.0000 0.2500
As3 0.7373 0.5000 0.2500
As4 0.7627 0.5000 0.7500
P1 0.2500 0.4808 0.5000
P2 0.2500 0.5192 0.0000
P3 0.7500 0.0192 0.5000
P4 0.7500 0.9808 0.0000
```

Largest 10 diffraction maxima, low angle first, 5° ≤ 2θ ≤ 70°:
d 5.390, 2θ = 16.45°, I = 6; d 4.929, 2θ = 17.99°, I = 8; d 3.918, 2θ = 22.70°, I = 8; d 3.169, 2θ = 28.16°, I = 100; d 1.959, 2θ = 46.35°, I = 24; d 1.934, 2θ = 46.98°, I = 23; d 1.929, 2θ = 47.11°, I = 23; d 1.669, 2θ = 55.01°, I = 14; d 1.663, 2θ = 55.24°, I = 14; d 1.633, 2θ = 56.34°, I = 13